No. 1
Structure and simulated powder diffraction line list of Mn2Ga3Si3 (a DFT-relaxed cell (GGA-PBE, Alexandria); CuKα).
Intensities are scaled so that the largest is 1000.

Cell and atoms:
```
Mn2Ga3Si3
1.0
-1.9428 8.0714 1.9429
1.9428 -8.0714 1.9429
1.9428 8.0714 -1.9429
Mn Ga Si
2 3 3
direct
0.2503 0.0000 0.2503 Mn
0.7497 0.0000 0.7497 Mn
0.1486 0.5002 0.6484 Ga
0.5033 0.5033 0.0000 Ga
0.8518 0.5002 0.3516 Ga
0.0042 0.5045 0.5002 Si
0.3381 0.5002 0.8379 Si
0.6623 0.5002 0.1621 Si
```

Most intense lines, 10° ≤ 2θ ≤ 80°, sorted by position:
- 10.96°, rel. 452
- 28.33°, rel. 443
- 32.59°, rel. 376
- 34.48°, rel. 366
- 39.68°, rel. 318
- 46.76°, rel. 615
- 47.29°, rel. 1000
- 55.58°, rel. 137
- 66.85°, rel. 145
- 68.28°, rel. 242

No. 2
Structure and simulated powder diffraction line list of Y3Mn3Ga2Si (a DFT-relaxed cell (GGA-PBE, Alexandria); CuKα).
Intensities are scaled so that the largest is 1000.

Cell and atoms:
```
Y3Mn3Ga2Si
1.0
6.9927 0.0000 0.0000
-3.4964 6.0559 0.0000
0.0000 0.0000 4.1556
Y Mn Ga Si
3 3 2 1
direct
0.0041 0.5817 0.0000 Y
0.4183 0.4224 0.0000 Y
0.5776 0.9959 0.0000 Y
0.0120 0.2402 0.5000 Mn
0.2282 0.9880 0.5000 Mn
0.7598 0.7718 0.5000 Mn
0.0000 0.0000 0.0000 Ga
0.6667 0.3333 0.5000 Ga
0.3333 0.6667 0.5000 Si
```

Most intense lines, 10° ≤ 2θ ≤ 80°, sorted by position:
- 29.50°, rel. 182
- 33.49°, rel. 736
- 36.72°, rel. 1000
- 39.37°, rel. 395
- 43.56°, rel. 279
- 45.23°, rel. 191
- 59.35°, rel. 208
- 60.15°, rel. 211
- 71.62°, rel. 187
- 75.48°, rel. 172

No. 3
Structure and simulated powder diffraction line list of TmMn6Ga2Sn4 (a DFT-relaxed cell (GGA-PBE, Alexandria); CuKα).
Intensities are scaled so that the largest is 1000.

Cell and atoms:
```
TmMn6Ga2Sn4
1.0
5.3554 0.0000 0.0000
-2.6777 4.6379 0.0000
0.0000 0.0000 8.7879
Tm Mn Ga Sn
1 6 2 4
direct
0.0000 0.0000 0.0000 Tm
0.0000 0.5000 0.2351 Mn
0.0000 0.5000 0.7649 Mn
0.5000 0.0000 0.2351 Mn
0.5000 0.0000 0.7649 Mn
0.5000 0.5000 0.2351 Mn
0.5000 0.5000 0.7649 Mn
0.3333 0.6667 0.0000 Ga
0.6667 0.3333 0.0000 Ga
0.0000 0.0000 0.3319 Sn
0.0000 0.0000 0.6681 Sn
0.3333 0.6667 0.5000 Sn
0.6667 0.3333 0.5000 Sn
```

Most intense lines, 10° ≤ 2θ ≤ 80°, sorted by position:
- 33.46°, rel. 1000
- 36.27°, rel. 818
- 38.83°, rel. 427
- 39.41°, rel. 795
- 41.08°, rel. 228
- 44.16°, rel. 446
- 45.92°, rel. 207
- 61.66°, rel. 362
- 70.31°, rel. 309
- 73.73°, rel. 356

No. 4
Structure and simulated powder diffraction line list of ZrMn6GaSn5 (a DFT-relaxed cell (GGA-PBE, Alexandria); CuKα).
Intensities are scaled so that the largest is 1000.

Cell and atoms:
```
ZrMn6GaSn5
1.0
5.3450 0.0000 0.0000
-2.6725 4.6289 0.0000
0.0000 0.0000 8.8590
Zr Mn Ga Sn
1 6 1 5
direct
0.0000 0.0000 0.0000 Zr
0.0066 0.5033 0.2419 Mn
0.0066 0.5033 0.7581 Mn
0.4967 0.5033 0.2419 Mn
0.4967 0.5033 0.7581 Mn
0.4967 0.9934 0.2419 Mn
0.4967 0.9934 0.7581 Mn
0.3333 0.6667 0.0000 Ga
0.0000 0.0000 0.3283 Sn
0.0000 0.0000 0.6717 Sn
0.3333 0.6667 0.5000 Sn
0.6667 0.3333 0.0000 Sn
0.6667 0.3333 0.5000 Sn
```

Most intense lines, 10° ≤ 2θ ≤ 80°, sorted by position:
- 33.53°, rel. 1000
- 36.08°, rel. 538
- 38.91°, rel. 311
- 39.38°, rel. 757
- 40.74°, rel. 260
- 44.15°, rel. 746
- 45.40°, rel. 217
- 61.62°, rel. 232
- 70.47°, rel. 318
- 73.24°, rel. 372